# Tb2Zr8O19
Calculated powder diffractogram, a wavelength of 1.5418 Å. Input: a DFT-relaxed cell (PBE, Alexandria).
Kinematic intensities with the Lorentz-polarization factor, no thermal factor.

Crystal structure
```
data_Tb2Zr8O19
_space_group_name_H-M_alt 'P -4 m 2'
_space_group_IT_number 115
_cell_length_a 3.665
_cell_length_b 3.665
_cell_length_c 26.362
_cell_angle_alpha 90.00
_cell_angle_beta 90.00
_cell_angle_gamma 90.00
loop_
_space_group_symop_operation_xyz
'x,y,z'
'y,-x,-z'
'-x,-y,z'
'-y,x,-z'
'-x,y,z'
'-y,-x,-z'
'x,-y,z'
'y,x,-z'
loop_
_atom_site_label
_atom_site_type_symbol
_atom_site_fract_x
_atom_site_fract_y
_atom_site_fract_z
Tb1 Tb 0.000 0.500 0.058
Zr1 Zr 0.000 0.500 0.255
Zr2 Zr 0.000 0.500 0.451
Zr3 Zr 0.000 0.500 0.647
Zr4 Zr 0.000 0.500 0.844
O1 O 0.000 0.000 0.000
O2 O 0.000 0.000 0.115
O3 O 0.000 0.000 0.213
O4 O 0.000 0.000 0.311
O5 O 0.000 0.000 0.406
O6 O 0.000 0.000 0.500
O7 O 0.500 0.500 0.098
O8 O 0.500 0.500 0.197
O9 O 0.500 0.500 0.297
O10 O 0.500 0.500 0.398
O11 O 0.500 0.500 0.500
```

Largest 10 diffraction maxima, by angle, 2θ = 10–80°:
- 2θ = 27.85°, rel. 3.9
- 2θ = 29.68°, rel. 100.0
- 2θ = 34.01°, rel. 8.0
- 2θ = 34.61°, rel. 16.7
- 2θ = 49.31°, rel. 33.9
- 2θ = 49.75°, rel. 19.1
- 2θ = 58.22°, rel. 11.1
- 2θ = 59.01°, rel. 27.5
- 2θ = 61.65°, rel. 7.4
- 2θ = 73.01°, rel. 5.5


# Sc12Fe6Ge
Calculated powder diffractogram, a wavelength of 1.5418 Å. Input: a DFT-relaxed cell (PBE, Alexandria).
Kinematic intensities with the Lorentz-polarization factor, no thermal factor.

Crystal structure
```
data_Sc12Fe6Ge
_space_group_name_H-M_alt 'I m -3'
_space_group_IT_number 204
_space_group_name_Hall '-I 2 2 3'
_cell_length_a 8.946
_cell_length_b 8.946
_cell_length_c 8.946
_cell_angle_alpha 90.00
_cell_angle_beta 90.00
_cell_angle_gamma 90.00
loop_
_atom_site_label
_atom_site_type_symbol
_atom_site_fract_x
_atom_site_fract_y
_atom_site_fract_z
Sc1 Sc 0.000 0.292 0.195
Fe1 Fe 0.000 0.118 0.500
Ge1 Ge 0.000 0.000 0.000
```

Largest 10 diffraction maxima, by angle, 2θ = 10–80°:
- 2θ = 19.85°, rel. 24.3
- 2θ = 34.74°, rel. 38.6
- 2θ = 37.62°, rel. 100.0
- 2θ = 40.33°, rel. 21.5
- 2θ = 42.89°, rel. 15.9
- 2θ = 52.13°, rel. 33.2
- 2θ = 60.33°, rel. 12.6
- 2θ = 62.27°, rel. 10.9
- 2θ = 64.17°, rel. 15.0
- 2θ = 75.08°, rel. 14.8


# CeSm2PaRu2
Calculated powder diffractogram, a wavelength of 1.5418 Å. Input: a DFT-relaxed cell (PBE, Alexandria).
Kinematic intensities with the Lorentz-polarization factor, no thermal factor.

Crystal structure
```
data_CeSm2PaRu2
_space_group_name_H-M_alt 'I b a m'
_space_group_IT_number 72
_space_group_name_Hall '-I 2 2c'
_cell_length_a 7.083
_cell_length_b 12.863
_cell_length_c 6.998
_cell_angle_alpha 90.00
_cell_angle_beta 90.00
_cell_angle_gamma 90.00
loop_
_atom_site_label
_atom_site_type_symbol
_atom_site_fract_x
_atom_site_fract_y
_atom_site_fract_z
Ce1 Ce 0.000 0.000 0.250
Sm1 Sm 0.230 0.307 0.000
Pa1 Pa 0.000 0.500 0.250
Ru1 Ru 0.232 0.418 0.500
```

Largest 10 diffraction maxima, by angle, 2θ = 10–80°:
- 2θ = 13.77°, rel. 41.9
- 2θ = 28.78°, rel. 56.8
- 2θ = 29.05°, rel. 57.6
- 2θ = 33.17°, rel. 77.6
- 2θ = 36.09°, rel. 100.0
- 2θ = 37.79°, rel. 20.9
- 2θ = 38.00°, rel. 20.7
- 2θ = 46.11°, rel. 21.5
- 2θ = 49.67°, rel. 31.2
- 2θ = 49.99°, rel. 24.2


# Ir4Os5
Calculated powder diffractogram, a wavelength of 1.5418 Å. Input: a DFT-relaxed cell (PBE, Alexandria).
Kinematic intensities with the Lorentz-polarization factor, no thermal factor.

Crystal structure
```
data_Ir4Os5
_space_group_name_H-M_alt 'I m m m'
_space_group_IT_number 71
_space_group_name_Hall '-I 2 2'
_cell_length_a 2.732
_cell_length_b 8.209
_cell_length_c 11.572
_cell_angle_alpha 90.00
_cell_angle_beta 90.00
_cell_angle_gamma 90.00
loop_
_atom_site_label
_atom_site_type_symbol
_atom_site_fract_x
_atom_site_fract_y
_atom_site_fract_z
Ir1 Ir 0.000 0.000 0.171
Ir2 Ir 0.000 0.328 0.500
Os1 Os 0.000 0.000 0.500
Os2 Os 0.000 0.334 0.166
```

Largest 5 diffraction maxima, by angle, 2θ = 10–80°:
- 2θ = 40.44°, rel. 100.0
- 2θ = 47.00°, rel. 32.8
- 2θ = 47.12°, rel. 16.2
- 2θ = 68.59°, rel. 5.4
- 2θ = 68.74°, rel. 26.5